# Ho4In2AgHg
Calculated powder XRD pattern, Cu Ka. Input: a structure optimized by DFT (PBE).
No peak broadening, texture or thermal motion is included.

Main lines, in order of rising 2θ (15 to 90 degrees two-theta):
- 19.8°, rel. 1
- 20.7°, rel. 1
- 24.0°, rel. 1
- 26.2°, rel. 1
- 34.2°, rel. 100
- 40.3°, rel. 1
- 49.1°, rel. 18
- 61.1°, rel. 9
- 61.2°, rel. 28
- 71.9°, rel. 6
- 72.0°, rel. 6
- 82.1°, rel. 16

a b c (Å): 9.105 9.105 9.105
angles (deg): 33.49 33.49 33.49
Positions (direct):
1 Ho 0.124 0.124 0.124
2 Ho 0.374 0.374 0.374
3 Ho 0.626 0.626 0.626
4 Ho 0.876 0.876 0.876
5 In 0.251 0.251 0.251
6 In 0.749 0.749 0.749
7 Ag 0.000 0.000 0.000
8 Hg 0.500 0.500 0.500